Record 1
The following is a theoretical powder X-ray diffraction pattern of Nd2ScCd2. It was derived from a GGA-PBE-relaxed structure, using Cu Kα X-rays.

Main lines, sorted by position (2θ from 10° to 90°):
| 2θ/deg | I (rel.) |
| --- | --- |
| 24.2 | 43 |
| 29.0 | 49 |
| 32.1 | 100 |
| 33.5 | 30 |
| 36.6 | 30 |
| 38.1 | 41 |

Cell: 8.5963 8.5963 8.5963 Å, 136.38 62.16 138.00°
Sites, in units of the cell vectors:
Nd 0.1148 0.1122 0.2269
Nd 0.3852 0.6122 0.9974
Nd 0.6148 0.3878 0.0026
Nd 0.8852 0.8878 0.7731
Sc 0.2500 0.7500 0.5000
Sc 0.7500 0.2500 0.5000
Cd 0.1661 0.6276 0.7937
Cd 0.3339 0.1276 0.4615
Cd 0.6661 0.8724 0.5385
Cd 0.8339 0.3724 0.2063

Record 2
The following is a theoretical powder X-ray diffraction pattern of NdCdSe2. It was derived from a GGA-PBE-relaxed structure, using Cu Kα X-rays.

Main lines, sorted by position (2θ from 10° to 90°):
| 2θ/deg | I (rel.) |
| --- | --- |
| 10.2 | 23 |
| 24.9 | 100 |
| 29.6 | 25 |
| 36.8 | 45 |
| 42.1 | 47 |
| 42.5 | 45 |

Cell: 4.2951 4.2951 25.9124 Å, 90.00 90.00 120.00°
Sites, in units of the cell vectors:
Nd 0.0000 0.6708 0.3333
Nd 0.3292 0.3292 0.0000
Nd 0.6708 0.0000 0.6667
Cd 0.0000 0.6644 0.8333
Cd 0.3356 0.3356 0.5000
Cd 0.6644 0.0000 0.1667
Se 0.0042 0.6667 0.7294
Se 0.3333 0.3374 0.3961
Se 0.3374 0.3333 0.6039
Se 0.6626 0.9958 0.0627
Se 0.6667 0.0042 0.2706
Se 0.9958 0.6626 0.9373

Record 3
The following is a theoretical powder X-ray diffraction pattern of Nd12CdSi6. It was derived from a GGA-PBE-relaxed structure, using Cu Kα X-rays.

Main lines, sorted by position (2θ from 10° to 90°):
| 2θ/deg | I (rel.) |
| --- | --- |
| 27.3 | 67 |
| 30.0 | 60 |
| 32.5 | 100 |
| 51.7 | 48 |
| 54.9 | 45 |
| 63.8 | 22 |

Cell: 8.9325 8.9325 8.9325 Å, 109.47 109.47 109.47°
Sites, in units of the cell vectors:
Nd 0.1090 0.2971 0.8118
Nd 0.1882 0.4853 0.2971
Nd 0.1882 0.8910 0.7029
Nd 0.2971 0.1882 0.4853
Nd 0.2971 0.8118 0.1090
Nd 0.4853 0.2971 0.1882
Nd 0.5147 0.7029 0.8118
Nd 0.7029 0.1882 0.8910
Nd 0.7029 0.8118 0.5147
Nd 0.8118 0.1090 0.2971
Nd 0.8118 0.5147 0.7029
Nd 0.8910 0.7029 0.1882
Cd 0.0000 0.0000 0.0000
Si 0.1141 0.5000 0.6141
Si 0.3859 0.8859 0.5000
Si 0.5000 0.3859 0.8859
Si 0.5000 0.6141 0.1141
Si 0.6141 0.1141 0.5000
Si 0.8859 0.5000 0.3859

Record 4
The following is a theoretical powder X-ray diffraction pattern of SrNdCdSi. It was derived from a GGA-PBE-relaxed structure, using Cu Kα X-rays.

Main lines, sorted by position (2θ from 10° to 90°):
| 2θ/deg | I (rel.) |
| --- | --- |
| 20.2 | 17 |
| 33.3 | 100 |
| 47.7 | 18 |
| 59.4 | 37 |
| 69.8 | 11 |
| 79.6 | 16 |

Cell: 5.3882 5.3882 5.3882 Å, 60.00 60.00 60.00°
Sites, in units of the cell vectors:
Sr 0.0000 0.0000 0.0000
Nd 0.5000 0.5000 0.5000
Cd 0.2500 0.2500 0.2500
Si 0.7500 0.7500 0.7500

Please write out number 3 again, unchanged.
The following is a theoretical powder X-ray diffraction pattern of Nd12CdSi6. It was derived from a GGA-PBE-relaxed structure, using Cu Kα X-rays.

Main lines, sorted by position (2θ from 10° to 90°):
| 2θ/deg | I (rel.) |
| --- | --- |
| 27.3 | 67 |
| 30.0 | 60 |
| 32.5 | 100 |
| 51.7 | 48 |
| 54.9 | 45 |
| 63.8 | 22 |

Cell: 8.9325 8.9325 8.9325 Å, 109.47 109.47 109.47°
Sites, in units of the cell vectors:
Nd 0.1090 0.2971 0.8118
Nd 0.1882 0.4853 0.2971
Nd 0.1882 0.8910 0.7029
Nd 0.2971 0.1882 0.4853
Nd 0.2971 0.8118 0.1090
Nd 0.4853 0.2971 0.1882
Nd 0.5147 0.7029 0.8118
Nd 0.7029 0.1882 0.8910
Nd 0.7029 0.8118 0.5147
Nd 0.8118 0.1090 0.2971
Nd 0.8118 0.5147 0.7029
Nd 0.8910 0.7029 0.1882
Cd 0.0000 0.0000 0.0000
Si 0.1141 0.5000 0.6141
Si 0.3859 0.8859 0.5000
Si 0.5000 0.3859 0.8859
Si 0.5000 0.6141 0.1141
Si 0.6141 0.1141 0.5000
Si 0.8859 0.5000 0.3859

Q: Which formula does entry 4 have?
A: SrNdCdSi